Starting from DFT lattice parameters and positions (PBE), the powder XRD pattern of LaP2Rh2 was computed for Cu Ka.

Top 6 peaks for 2θ = 5–70°, in order of rising 2θ:
two_theta, intensity
31.38, 41
35.03, 89
35.35, 100
42.86, 72
56.51, 44
62.23, 23

Cell and atoms:
```
10
Lattice="4.220 0.000 0.000 0.000 4.220 0.000 0.000 0.000 9.669" Properties=species:S:1:pos:R:3 pbc="T T T"
La 1.055 1.055 2.345
La 3.165 3.165 7.324
P 1.055 1.055 6.167
P 1.055 3.165 0.000
P 3.165 1.055 0.000
P 3.165 3.165 3.502
Rh 1.055 1.055 8.590
Rh 1.055 3.165 4.835
Rh 3.165 1.055 4.835
Rh 3.165 3.165 1.079
```